Structure and computed powder XRD pattern of NbInFePt (a crystal structure in OQMD, relaxed with PBE; Cu Kα (weighted mean of Kα1 and Kα2)).

The 6 most intense peaks (10 to 80 degrees two-theta), by angle:
| two_theta | Rel. int. | h k l |
| --- | --- | --- |
| 24.0 | 201 | 1 1 1 |
| 39.7 | 1000 | 2 2 0 |
| 47.0 | 108 | 3 1 1 |
| 57.4 | 167 | 4 0 0 |
| 63.2 | 47 | 3 3 1 |
| 72.1 | 334 | 4 2 2 |

Cell and atoms:
Cell lengths 6.4166, 6.4166, 6.4166 Å; angles 90.00, 90.00, 90.00 degrees
Space group F-43m (No. 216)
One atom of each set of equivalent atoms:
Nb (0.0000, 0.0000, 0.0000) [4 per cell]
In (0.0000, 0.0000, 0.5000) [4 per cell]
Fe (0.2500, 0.2500, 0.7500) [4 per cell]
Pt (0.2500, 0.2500, 0.2500) [4 per cell]

=====

Structure and computed powder XRD pattern of InFeNi (a crystal structure in OQMD, relaxed with PBE; Cu Kα (weighted mean of Kα1 and Kα2)).

The 6 most intense peaks (10 to 80 degrees two-theta), by angle:
| two_theta | Rel. int. | h k l |
| --- | --- | --- |
| 25.2 | 206 | 1 1 0 |
| 38.9 | 233 | 2 1 0 |
| 39.8 | 1000 | 1 1 1 |
| 42.6 | 336 | 2 0 1 |
| 44.3 | 771 | 3 0 0 |
| 74.8 | 215 | 3 2 1 |

Cell and atoms:
Cell lengths 7.0776, 7.0776, 2.9452 Å; angles 90.00, 90.00, 120.00 degrees
Space group P-62m (No. 189)
One atom of each set of equivalent atoms:
In (0.0000, 0.2926, 0.0000) [3 per cell]
Fe (0.0000, 0.6249, 0.5000) [3 per cell]
Ni (0.0000, 0.0000, 0.5000) [1 per cell]
Ni (0.3333, 0.6667, 0.0000) [2 per cell]